Starting from the PBE geometry in the Materials Project, the powder diffraction line list of Hf2Fe was computed for copper Kα.
Peak positions follow from Bragg's law for the DFT cell and can differ from measured ones.

Crystal structure
Cell: 11.9926 11.9926 11.9926 Å, 90.00 90.00 90.00°
Space group Fd-3m (No. 227, origin choice 2)
Inequivalent atoms, fractional coordinates:
Hf (0.0000, 0.0000, 0.0000) (multiplicity 16)
Hf (0.0637, 0.3750, 0.8750) (multiplicity 48)
Fe (0.0346, 0.0346, 0.2154) (multiplicity 32)

Peak list (10 most intense, 15° ≤ 2θ ≤ 90°, by angle)
h k l, Position (°2θ), I/Imax
3 3 1, 32.54, 49
4 2 2, 36.71, 48
5 1 1, 39.03, 100
4 4 0, 42.65, 39
5 5 3, 59.18, 10
7 3 3, 63.50, 14
6 6 0, 66.11, 41
5 5 5, 67.66, 17
9 3 3, 79.53, 17
9 5 1, 83.36, 9